Simulated XRD peak list
Compound: Sr3In3Rh2
Radiation: Cu Kα
Structure: a crystal structure in Alexandria, relaxed with GGA-PBE
No peak broadening, texture or thermal motion is included.

Atomic structure:
```
Sr3In3Rh2
1.0
8.538 0.000 0.000
0.000 16.562 0.000
0.000 0.000 6.292
Sr In Rh
12 12 8
direct
0.039 0.109 0.102
0.039 0.391 0.102
0.187 0.250 0.623
0.313 0.750 0.123
0.461 0.609 0.602
0.461 0.891 0.602
0.539 0.109 0.398
0.539 0.391 0.398
0.687 0.250 0.877
0.813 0.750 0.377
0.961 0.609 0.898
0.961 0.891 0.898
0.161 0.750 0.599
0.168 0.038 0.605
0.168 0.462 0.605
0.332 0.538 0.105
0.332 0.962 0.105
0.339 0.250 0.099
0.661 0.750 0.901
0.668 0.038 0.895
0.668 0.462 0.895
0.832 0.538 0.395
0.832 0.962 0.395
0.839 0.250 0.401
0.125 0.604 0.386
0.125 0.896 0.386
0.375 0.104 0.886
0.375 0.396 0.886
0.625 0.604 0.114
0.625 0.896 0.114
0.875 0.104 0.614
0.875 0.396 0.614
```

The 8 most intense peaks (2θ from 15° to 90°), sorted by position:
(hkl)	2theta	d [Å]	I (rel.)
1 0 1	17.51	5.065	359
2 4 0	30.06	2.973	631
2 4 1	33.34	2.687	847
1 3 2	34.45	2.603	948
3 0 1	34.59	2.593	1000
1 4 2	37.41	2.404	755
1 7 1	42.16	2.144	401
2 4 3	53.47	1.714	418